# 1
Simulated powder X-ray diffraction pattern of Mg14CrCoO16 for Cu Kα, from a DFT-relaxed cell (PBE+U, the Materials Project).
Peak positions follow from Bragg's law for the DFT cell and can differ from measured ones.

Cell and atoms:
Lattice parameters (Å, degrees): 4.270 8.521 8.547 90.00 90.00 90.00
Atoms (fractional coordinates):
Mg1 0.000 0.000 0.000
Mg2 0.000 0.000 0.500
Mg3 0.000 0.251 0.246
Mg4 0.000 0.251 0.754
Mg5 0.000 0.749 0.246
Mg6 0.000 0.749 0.754
Mg7 0.500 0.000 0.249
Mg8 0.500 0.000 0.751
Mg9 0.500 0.249 0.500
Mg10 0.500 0.252 0.000
Mg11 0.500 0.500 0.245
Mg12 0.500 0.500 0.755
Mg13 0.500 0.748 0.000
Mg14 0.500 0.751 0.500
Cr1 0.000 0.500 0.500
Co1 0.000 0.500 0.000
O1 0.000 0.000 0.253
O2 0.000 0.000 0.747
O3 0.000 0.242 0.000
O4 0.000 0.253 0.500
O5 0.000 0.500 0.262
O6 0.000 0.500 0.738
O7 0.000 0.747 0.500
O8 0.000 0.758 0.000
O9 0.500 0.000 0.000
O10 0.500 0.000 0.500
O11 0.500 0.251 0.251
O12 0.500 0.251 0.749
O13 0.500 0.500 0.000
O14 0.500 0.500 0.500
O15 0.500 0.749 0.251
O16 0.500 0.749 0.749

Main lines, in order of rising 2θ (2θ = 10–90°):
2θ 10.38, I = 12.7, (0 1 0); 2θ 20.81, I = 8.0, (0 0 2); 2θ 23.29, I = 7.8, (1 1 0); 2θ 36.46, I = 26.4, (1 2 2); 2θ 42.32, I = 100.0, (2 0 0); 2θ 42.43, I = 49.6, (0 4 0); 2θ 61.43, I = 56.0, (2 0 4); 2θ 61.49, I = 28.0, (2 4 0); 2θ 73.56, I = 9.9, (3 2 2); 2θ 77.47, I = 25.3, (2 4 4)

# 2
Simulated powder X-ray diffraction pattern of Mg14CrCoO16 for Cu Kα, from a DFT-relaxed cell (PBE+U, the Materials Project).
Peak positions follow from Bragg's law for the DFT cell and can differ from measured ones.

Cell and atoms:
Lattice parameters (Å, degrees): 8.541 8.541 4.276 90.00 90.00 90.00
Atoms (fractional coordinates):
Mg1 0.000 0.246 0.000
Mg2 0.000 0.500 0.500
Mg3 0.000 0.754 0.000
Mg4 0.246 0.000 0.000
Mg5 0.246 0.246 0.500
Mg6 0.246 0.754 0.500
Mg7 0.248 0.500 0.000
Mg8 0.500 0.000 0.500
Mg9 0.500 0.248 0.000
Mg10 0.500 0.752 0.000
Mg11 0.752 0.500 0.000
Mg12 0.754 0.000 0.000
Mg13 0.754 0.246 0.500
Mg14 0.754 0.754 0.500
Cr1 0.500 0.500 0.500
Co1 0.000 0.000 0.500
O1 0.000 0.000 0.000
O2 0.000 0.261 0.500
O3 0.000 0.500 0.000
O4 0.000 0.739 0.500
O5 0.250 0.250 0.000
O6 0.250 0.750 0.000
O7 0.256 0.500 0.500
O8 0.261 0.000 0.500
O9 0.500 0.000 0.000
O10 0.500 0.256 0.500
O11 0.500 0.500 0.000
O12 0.500 0.744 0.500
O13 0.739 0.000 0.500
O14 0.744 0.500 0.500
O15 0.750 0.250 0.000
O16 0.750 0.750 0.000

Main lines, in order of rising 2θ (2θ = 10–90°):
2θ 14.67, I = 7.5, (1 1 0); 2θ 20.79, I = 5.4, (2 0 0); 2θ 25.52, I = 3.9, (1 1 1); 2θ 29.57, I = 4.5, (2 2 0); 2θ 36.42, I = 17.6, (2 2 1); 2θ 39.46, I = 2.8, (3 1 1); 2θ 42.31, I = 100.0, (0 0 2); 2θ 61.38, I = 56.1, (4 0 2); 2θ 73.52, I = 9.9, (6 2 1); 2θ 77.38, I = 16.9, (4 4 2)

Which formula does entry 2 have? Mg14CrCoO16